Starting from the GGA-PBE geometry in the Materials Project, the powder diffraction line list of SmErFe17C2 was computed for copper Kα.

Top 10 peaks for 2θ = 15–90°, most intense first:
42.4 deg, I = 100, (3 3 0)
42.1 deg, I = 79, (0 4 0)
41.8 deg, I = 69, (2 2 2)
43.6 deg, I = 57, (4 0 -2)
29.8 deg, I = 43, (1 1 -2)
36.2 deg, I = 41, (1 3 1)
37.6 deg, I = 25, (2 2 -2)
29.9 deg, I = 19, (2 2 -1)
61.9 deg, I = 19, (2 2 -4)
35.9 deg, I = 18, (2 0 2)

Atomic structure:
```
data_SmErFe17C2
_chemical_formula_sum 'Sm2 Er2 Fe34 C4'
_symmetry_space_group_name_H-M 'C 1 m 1'
_symmetry_Int_Tables_number 8
_cell_length_a 9.701
_cell_length_b 8.578
_cell_length_c 6.509
_cell_angle_alpha 90.00
_cell_angle_beta 98.62
_cell_angle_gamma 90.00
loop_
_symmetry_equiv_pos_as_xyz
'x,y,z'
'x,-y,z'
'x+1/2,y+1/2,z'
'x+1/2,-y+1/2,z'
loop_
_atom_site_label
_atom_site_type_symbol
_atom_site_fract_x
_atom_site_fract_y
_atom_site_fract_z
_atom_site_occupancy
Sm1 Sm 0.000 0.000 0.000 1
Er1 Er 0.311 0.000 0.664 1
Fe1 Fe 0.012 0.358 0.048 1
Fe2 Fe 0.056 0.254 0.675 1
Fe3 Fe 0.059 0.500 0.430 1
Fe4 Fe 0.155 0.208 0.335 1
Fe5 Fe 0.155 0.500 0.833 1
Fe6 Fe 0.249 0.500 0.238 1
Fe7 Fe 0.253 0.253 0.990 1
Fe8 Fe 0.297 0.357 0.617 1
Fe9 Fe 0.312 0.000 0.185 1
Fe10 Fe 0.405 0.250 0.334 1
Fe11 Fe 0.499 0.500 0.484 1
C1 C 0.403 0.246 0.831 1
```